Structure and simulated XRD peak list of Li3VFe2O6 (a structure optimized by DFT (PBE+U); Cu Kα, 1.54184 Å).

Most intense lines, 2θ from 5° to 70°, by angle:
- 17.18 deg, rel. 100
- 35.19 deg, rel. 28
- 35.36 deg, rel. 12
- 38.39 deg, rel. 16
- 38.55 deg, rel. 9
- 43.28 deg, rel. 33
- 43.43 deg, rel. 15
- 56.66 deg, rel. 15
- 56.78 deg, rel. 7
- 60.86 deg, rel. 6
- 61.21 deg, rel. 12
- 64.08 deg, rel. 9

Structural model:
a b c (Å): 5.263 5.263 10.323
angles (deg): 90.00 90.00 59.67
Sites, in units of the cell vectors:
Li (0.008, 0.992, 0.500)
Li (0.328, 0.337, 0.001)
Li (0.337, 0.328, 0.501)
Li (0.663, 0.672, 0.001)
Li (0.672, 0.663, 0.501)
Li (0.992, 0.008, 0.000)
V (0.327, 0.673, 0.783)
V (0.673, 0.327, 0.283)
Fe (0.005, 0.661, 0.278)
Fe (0.339, 0.995, 0.278)
Fe (0.661, 0.005, 0.778)
Fe (0.995, 0.339, 0.778)
O (0.003, 0.997, 0.184)
O (0.007, 0.329, 0.397)
O (0.327, 0.337, 0.684)
O (0.329, 0.007, 0.897)
O (0.337, 0.327, 0.184)
O (0.341, 0.659, 0.396)
O (0.659, 0.341, 0.896)
O (0.663, 0.673, 0.684)
O (0.671, 0.993, 0.397)
O (0.673, 0.663, 0.184)
O (0.993, 0.671, 0.897)
O (0.997, 0.003, 0.684)